# 1
For Na3SbOs, a crystal structure in Alexandria, relaxed with PBE gives the calculated X-ray diffraction stick pattern in this record (copper Kα).

Principal peaks in the range 10° ≤ 2θ ≤ 90°, by angle:
2θ/deg	I_rel
21.63	100
30.77	38
37.92	48
44.07	28
49.61	22
54.71	10
59.52	26
68.50	13
72.78	12
85.13	15

Structure:
a = 5.8114 Å, b = 5.8114 Å, c = 5.8114 Å
α = 90.00°, β = 90.00°, γ = 90.00°
Element x y z (fractional)
Na1 0.0000 0.0000 0.5000
Na2 0.0000 0.5000 0.0000
Na3 0.5000 0.0000 0.0000
Sb1 0.0000 0.0000 0.0000
Os1 0.5000 0.5000 0.5000

# 2
For NaTiOs2, a crystal structure in Alexandria, relaxed with PBE gives the calculated X-ray diffraction stick pattern in this record (copper Kα).

Principal peaks in the range 10° ≤ 2θ ≤ 90°, by angle:
2θ/deg	I_rel
24.70	1
28.60	59
40.89	100
50.66	17
59.21	17
67.05	23
74.46	34
88.63	11

Structure:
a = 4.4139 Å, b = 4.4139 Å, c = 4.4139 Å
α = 60.00°, β = 60.00°, γ = 60.00°
Element x y z (fractional)
Na1 0.0000 0.0000 0.0000
Ti1 0.5000 0.5000 0.5000
Os1 0.2500 0.2500 0.2500
Os2 0.7500 0.7500 0.7500

# 3
For Na2TlOs, a crystal structure in Alexandria, relaxed with PBE gives the calculated X-ray diffraction stick pattern in this record (copper Kα).

Principal peaks in the range 10° ≤ 2θ ≤ 90°, by angle:
2θ/deg	I_rel
21.26	100
30.25	70
36.37	70
43.31	27
48.01	64
48.73	24
57.80	19
66.62	24
74.89	17
89.05	14

Structure:
a = 6.5051 Å, b = 6.5051 Å, c = 6.5051 Å
α = 100.06°, β = 100.06°, γ = 130.58°
Element x y z (fractional)
Na1 0.1081 0.6250 0.9831
Na2 0.3750 0.3581 0.4831
Na3 0.6419 0.1250 0.0169
Na4 0.8750 0.8919 0.5169
Tl1 0.2500 0.7500 0.5000
Tl2 0.5000 0.5000 0.0000
Os1 0.0000 0.0000 0.0000
Os2 0.7500 0.2500 0.5000

# 4
For Na5P2, a crystal structure in Alexandria, relaxed with PBE gives the calculated X-ray diffraction stick pattern in this record (copper Kα).

Principal peaks in the range 10° ≤ 2θ ≤ 90°, by angle:
2θ/deg	I_rel
22.54	36
31.99	45
33.61	28
34.10	22
35.08	100
37.41	24
38.06	91
38.43	93
41.76	37
42.43	28

Structure:
a = 8.6158 Å, b = 8.6158 Å, c = 8.6158 Å
α = 129.75°, β = 67.61°, γ = 137.85°
Element x y z (fractional)
Na1 0.0127 0.2500 0.7627
Na2 0.0780 0.6453 0.7234
Na3 0.2500 0.2500 0.0000
Na4 0.4220 0.1453 0.5673
Na5 0.4873 0.2500 0.2373
Na6 0.5127 0.7500 0.7627
Na7 0.5780 0.8547 0.4327
Na8 0.7500 0.7500 0.0000
Na9 0.9220 0.3547 0.2766
Na10 0.9873 0.7500 0.2373
P1 0.1235 0.2568 0.3803
P2 0.3765 0.7568 0.1334
P3 0.6235 0.2432 0.8666
P4 0.8765 0.7432 0.6197

# 5
For Na5P, a crystal structure in Alexandria, relaxed with PBE gives the calculated X-ray diffraction stick pattern in this record (copper Kα).

Principal peaks in the range 10° ≤ 2θ ≤ 90°, by angle:
2θ/deg	I_rel
12.51	18
32.70	100
37.58	19
38.10	29
41.70	15
54.59	18
64.75	12
65.42	11
65.58	7
79.80	7

Structure:
a = 7.4610 Å, b = 7.4610 Å, c = 4.7868 Å
α = 90.00°, β = 90.00°, γ = 143.06°
Element x y z (fractional)
Na1 0.0000 0.0000 0.0000
Na2 0.1404 0.8596 0.5000
Na3 0.3569 0.6431 0.0000
Na4 0.6431 0.3569 0.0000
Na5 0.8596 0.1404 0.5000
P1 0.5000 0.5000 0.5000

# 6
For NaP15, a crystal structure in Alexandria, relaxed with PBE gives the calculated X-ray diffraction stick pattern in this record (copper Kα).

Principal peaks in the range 10° ≤ 2θ ≤ 90°, by angle:
2θ/deg	I_rel
13.51	36
14.90	100
15.97	27
19.32	33
27.24	41
28.84	39
30.05	17
32.29	34
32.51	27
42.70	17

Structure:
a = 7.2593 Å, b = 9.3677 Å, c = 12.0719 Å
α = 93.10°, β = 98.00°, γ = 109.55°
Element x y z (fractional)
Na1 0.2151 0.2118 0.0006
Na2 0.7849 0.7882 0.9994
P1 0.0077 0.4476 0.8337
P2 0.0159 0.3322 0.3908
P3 0.0202 0.9035 0.6780
P4 0.1064 0.9137 0.8583
P5 0.1201 0.7522 0.2940
P6 0.1992 0.6030 0.7330
P7 0.2592 0.4818 0.1666
P8 0.2991 0.8599 0.1678
P9 0.3013 0.9900 0.6078
P10 0.3105 0.4550 0.3503
P11 0.3339 0.8119 0.8560
P12 0.3409 0.6859 0.4205
P13 0.3807 0.2373 0.6492
P14 0.4825 0.0754 0.2696
P15 0.4941 0.7175 0.1673
P16 0.5059 0.2825 0.8327
P17 0.5175 0.9246 0.7304
P18 0.6193 0.7627 0.3508
P19 0.6591 0.3141 0.5795
P20 0.6661 0.1881 0.1440
P21 0.6895 0.5450 0.6497
P22 0.6987 0.0100 0.3922
P23 0.7009 0.1401 0.8322
P24 0.7408 0.5182 0.8334
P25 0.8008 0.3970 0.2670
P26 0.8799 0.2478 0.7060
P27 0.8936 0.0863 0.1417
P28 0.9798 0.0965 0.3220
P29 0.9841 0.6678 0.6092
P30 0.9923 0.5524 0.1663

# 7
For Na2PaP2Pd, a crystal structure in Alexandria, relaxed with PBE gives the calculated X-ray diffraction stick pattern in this record (copper Kα).

Principal peaks in the range 10° ≤ 2θ ≤ 90°, by angle:
2θ/deg	I_rel
10.75	100
23.42	14
30.12	19
32.91	17
33.58	18
34.12	16
35.35	36
38.99	20
40.27	15
42.23	20

Structure:
a = 4.2810 Å, b = 8.2320 Å, c = 6.8273 Å
α = 90.00°, β = 90.00°, γ = 90.00°
Element x y z (fractional)
Na1 0.0000 0.0879 0.0000
Na2 0.0000 0.9121 0.5000
Na3 0.5000 0.1440 0.3354
Na4 0.5000 0.8560 0.8354
Pa1 0.5000 0.4667 0.9727
Pa2 0.5000 0.5333 0.4727
P1 0.0000 0.3908 0.2459
P2 0.0000 0.6092 0.7459
P3 0.5000 0.1949 0.7463
P4 0.5000 0.8051 0.2463
Pd1 0.0000 0.3107 0.6190
Pd2 0.0000 0.6893 0.1190

# 8
For NaPaP2S8, a crystal structure in Alexandria, relaxed with PBE gives the calculated X-ray diffraction stick pattern in this record (copper Kα).

Principal peaks in the range 10° ≤ 2θ ≤ 90°, by angle:
2θ/deg	I_rel
16.98	83
21.03	100
23.14	56
28.04	24
29.09	38
30.71	55
35.06	65
36.17	24
49.27	38
51.57	30

Structure:
a = 9.9249 Å, b = 9.9249 Å, c = 9.9249 Å
α = 36.03°, β = 36.03°, γ = 36.03°
Element x y z (fractional)
Na1 0.0000 0.0000 0.0000
Pa1 0.5000 0.5000 0.5000
P1 0.2494 0.2494 0.2494
P2 0.7506 0.7506 0.7506
S1 0.0886 0.7927 0.4494
S2 0.2073 0.5506 0.9114
S3 0.3198 0.3198 0.3198
S4 0.4494 0.0886 0.7927
S5 0.5506 0.9114 0.2073
S6 0.6802 0.6802 0.6802
S7 0.7927 0.4494 0.0886
S8 0.9114 0.2073 0.5506

# 9
For NaP12Pd4, a crystal structure in Alexandria, relaxed with PBE gives the calculated X-ray diffraction stick pattern in this record (copper Kα).

Principal peaks in the range 10° ≤ 2θ ≤ 90°, by angle:
2θ/deg	I_rel
21.50	63
30.59	100
34.30	33
37.69	33
49.29	77
54.37	49
56.78	17
72.28	20
84.51	16
88.50	19

Structure:
a = 7.1596 Å, b = 7.1596 Å, c = 7.1596 Å
α = 109.47°, β = 109.47°, γ = 109.47°
Element x y z (fractional)
Na1 0.0000 0.0000 0.0000
P1 0.1346 0.5005 0.3658
P2 0.1346 0.7688 0.6342
P3 0.2312 0.3658 0.8654
P4 0.3658 0.1346 0.5005
P5 0.3658 0.8654 0.2312
P6 0.5005 0.3658 0.1346
P7 0.4995 0.6342 0.8654
P8 0.6342 0.1346 0.7688
P9 0.6342 0.8654 0.4995
P10 0.7688 0.6342 0.1346
P11 0.8654 0.2312 0.3658
P12 0.8654 0.4995 0.6342
Pd1 0.0000 0.0000 0.5000
Pd2 0.0000 0.5000 0.0000
Pd3 0.5000 0.0000 0.0000
Pd4 0.5000 0.5000 0.5000

# 10
For Na5P3Pd3, a crystal structure in Alexandria, relaxed with PBE gives the calculated X-ray diffraction stick pattern in this record (copper Kα).

Principal peaks in the range 10° ≤ 2θ ≤ 90°, by angle:
2θ/deg	I_rel
19.98	100
28.51	52
30.76	19
34.97	42
40.62	17
40.90	12
45.72	10
45.92	21
54.88	22
59.00	9

Structure:
a = 8.8877 Å, b = 8.8877 Å, c = 4.4124 Å
α = 90.00°, β = 90.00°, γ = 120.00°
Element x y z (fractional)
Na1 0.0000 0.2695 0.0000
Na2 0.2695 0.0000 0.0000
Na3 0.3333 0.6667 0.0000
Na4 0.6667 0.3333 0.0000
Na5 0.7305 0.7305 0.0000
P1 0.0000 0.6364 0.0000
P2 0.3636 0.3636 0.0000
P3 0.6364 0.0000 0.0000
Pd1 0.0000 0.6366 0.5000
Pd2 0.3634 0.3634 0.5000
Pd3 0.6366 0.0000 0.5000

# 11
For Na2P3Pd9, a crystal structure in Alexandria, relaxed with PBE gives the calculated X-ray diffraction stick pattern in this record (copper Kα).

Principal peaks in the range 10° ≤ 2θ ≤ 90°, by angle:
2θ/deg	I_rel
14.55	41
30.43	43
30.82	43
37.77	72
38.13	100
38.25	65
40.02	67
42.60	77
43.26	38
47.44	39

Structure:
a = 7.6623 Å, b = 7.6623 Å, c = 10.0484 Å
α = 112.57°, β = 112.57°, γ = 56.19°
Element x y z (fractional)
Na1 0.0848 0.2731 0.2426
Na2 0.2731 0.0848 0.7426
Na3 0.7269 0.9152 0.2574
Na4 0.9152 0.7269 0.7574
P1 0.0000 0.5000 0.0000
P2 0.1733 0.6322 0.4936
P3 0.3678 0.8267 0.0064
P4 0.5000 0.0000 0.5000
P5 0.6322 0.1733 0.9936
P6 0.8267 0.3678 0.5064
Pd1 0.0261 0.0735 0.9067
Pd2 0.0735 0.0261 0.4067
Pd3 0.1856 0.5948 0.2532
Pd4 0.1884 0.3429 0.5562
Pd5 0.2966 0.5295 0.9839
Pd6 0.3429 0.1884 0.0562
Pd7 0.3546 0.6454 0.7500
Pd8 0.4052 0.8144 0.2468
Pd9 0.4705 0.7034 0.5161
Pd10 0.5295 0.2966 0.4839
Pd11 0.5948 0.1856 0.7532
Pd12 0.6454 0.3546 0.2500
Pd13 0.6571 0.8116 0.9438
Pd14 0.7034 0.4705 0.0161
Pd15 0.8116 0.6571 0.4438
Pd16 0.8144 0.4052 0.7468
Pd17 0.9265 0.9739 0.5933
Pd18 0.9739 0.9265 0.0933

# 12
For NaP3Pd7, a crystal structure in Alexandria, relaxed with PBE gives the calculated X-ray diffraction stick pattern in this record (copper Kα).

Principal peaks in the range 10° ≤ 2θ ≤ 90°, by angle:
2θ/deg	I_rel
16.08	35
28.89	19
32.50	32
36.85	42
37.03	100
40.70	84
42.78	75
45.27	22
45.75	64
66.24	20

Structure:
a = 8.2399 Å, b = 8.2399 Å, c = 8.2399 Å
α = 53.88°, β = 53.88°, γ = 53.88°
Element x y z (fractional)
Na1 0.0000 0.0000 0.0000
Na2 0.5000 0.5000 0.5000
P1 0.0741 0.7500 0.4259
P2 0.2500 0.5741 0.9259
P3 0.4259 0.0741 0.7500
P4 0.5741 0.9259 0.2500
P5 0.7500 0.4259 0.0741
P6 0.9259 0.2500 0.5741
Pd1 0.0966 0.8328 0.6474
Pd2 0.1474 0.3328 0.5966
Pd3 0.1672 0.3526 0.9034
Pd4 0.2500 0.2500 0.2500
Pd5 0.3328 0.5966 0.1474
Pd6 0.3526 0.9034 0.1672
Pd7 0.4034 0.8526 0.6672
Pd8 0.5966 0.1474 0.3328
Pd9 0.6474 0.0966 0.8328
Pd10 0.6672 0.4034 0.8526
Pd11 0.7500 0.7500 0.7500
Pd12 0.8328 0.6474 0.0966
Pd13 0.8526 0.6672 0.4034
Pd14 0.9034 0.1672 0.3526